No. 1
# LaPm3Pr5
Computed powder XRD pattern, copper Kα. Input: the PBE geometry in Alexandria.

Most intense lines, 2θ = 10–80°, low angle first:
2θ/deg, I_rel
23.59, 24
26.92, 18
27.32, 47
28.83, 42
30.71, 100
30.88, 77
31.08, 79
31.21, 60
32.95, 43
33.93, 40
43.93, 19
53.77, 20

Cell and atoms:
a = 10.0708 Å, b = 10.0708 Å, c = 11.5277 Å
α = 111.96°, β = 111.96°, γ = 38.41°
Element x y z (fractional)
La  0.1340  0.8660  0.7500
La  0.8660  0.1340  0.2500
Pm  0.0000  0.0000  0.0000
Pm  0.0000  0.0000  0.5000
Pm  0.1404  0.5373  0.4851
Pm  0.4627  0.8596  0.0149
Pm  0.5373  0.1404  0.9851
Pm  0.8596  0.4627  0.5149
Pr  0.0106  0.6514  0.1335
Pr  0.1346  0.5282  0.7893
Pr  0.3486  0.9894  0.3665
Pr  0.4046  0.5954  0.2500
Pr  0.4718  0.8654  0.7107
Pr  0.5282  0.1346  0.2893
Pr  0.5954  0.4046  0.7500
Pr  0.6514  0.0106  0.6335
Pr  0.8654  0.4718  0.2107
Pr  0.9894  0.3486  0.8665

***

No. 2
# ThNi6C
Computed powder XRD pattern, copper Kα. Input: the PBE geometry in Alexandria.

Most intense lines, 2θ = 10–80°, low angle first:
2θ/deg, I_rel
19.54, 18
20.85, 22
23.75, 35
33.01, 68
38.65, 44
40.08, 38
40.78, 100
42.44, 48
53.67, 39
61.06, 17
64.76, 21
73.09, 22

Cell and atoms:
a = 5.4390 Å, b = 5.4390 Å, c = 5.4390 Å
α = 56.85°, β = 56.85°, γ = 56.85°
Element x y z (fractional)
Th  0.0000  0.0000  0.0000
Ni  0.0767  0.5969  0.5969
Ni  0.4031  0.4031  0.9233
Ni  0.4031  0.9233  0.4031
Ni  0.5969  0.0767  0.5969
Ni  0.5969  0.5969  0.0767
Ni  0.9233  0.4031  0.4031
C  0.5000  0.5000  0.5000